Computed XRD peak list of BaTi4O8 for CuKα, from a DFT-relaxed cell (GGA-PBE, the Materials Project).
Kinematic intensities with the Lorentz-polarization factor, no thermal factor.

Principal peaks in the range 10 to 90 degrees two-theta, low angle first:
(0 0 1), 11.12 deg, I 89.5; (1 0 1), 20.95 deg, I 50.0; (1 0 2), 28.65 deg, I 100.0; (1 1 0), 30.91 deg, I 80.2; (2 -1 1), 32.95 deg, I 62.3; (3 -1 2), 53.60 deg, I 29.6; (3 0 0), 54.98 deg, I 27.5; (2 -1 4), 56.10 deg, I 27.1

Structure:
Cell lengths 5.7851, 5.7851, 7.9587 Å; angles 90.00, 90.00, 120.00 degrees
Fractional positions:
Ba 0.0000 0.0000 0.0000
Ti 0.3333 0.6667 0.2348
Ti 0.3333 0.6667 0.7652
Ti 0.6667 0.3333 0.2348
Ti 0.6667 0.3333 0.7652
O 0.0000 0.3681 0.2771
O 0.0000 0.6319 0.7229
O 0.3333 0.6667 0.0000
O 0.3681 0.0000 0.2771
O 0.3681 0.3681 0.7229
O 0.6319 0.0000 0.7229
O 0.6319 0.6319 0.2771
O 0.6667 0.3333 0.0000

---

Computed XRD peak list of SiO2 for CuKα, from a DFT-relaxed cell (GGA-PBE, the Materials Project).
Kinematic intensities with the Lorentz-polarization factor, no thermal factor.

Principal peaks in the range 10 to 90 degrees two-theta, low angle first:
(1 0 0), 10.74 deg, I 100.0; (1 1 0), 15.22 deg, I 53.2; (1 1 1), 22.10 deg, I 53.9; (2 1 0), 24.17 deg, I 42.4; (0 0 2), 32.19 deg, I 10.1; (3 0 0), 32.63 deg, I 16.1; (1 1 2), 35.79 deg, I 14.2; (4 1 1), 48.43 deg, I 14.0

Structure:
Cell lengths 8.2337, 8.2337, 5.5610 Å; angles 90.00, 90.00, 90.00 degrees
Fractional positions:
Si 0.0688 0.3138 0.0000
Si 0.0688 0.6862 0.5000
Si 0.3138 0.0688 0.0000
Si 0.3138 0.9312 0.5000
Si 0.6862 0.0688 0.5000
Si 0.6862 0.9312 0.0000
Si 0.9312 0.3138 0.5000
Si 0.9312 0.6862 0.0000
O 0.0000 0.2364 0.2500
O 0.0000 0.2364 0.7500
O 0.0000 0.5000 0.0000
O 0.0000 0.5000 0.5000
O 0.0000 0.7636 0.2500
O 0.0000 0.7636 0.7500
O 0.2364 0.0000 0.2500
O 0.2364 0.0000 0.7500
O 0.2660 0.2660 0.0000
O 0.2660 0.7340 0.5000
O 0.5000 0.0000 0.0000
O 0.5000 0.0000 0.5000
O 0.7340 0.2660 0.5000
O 0.7340 0.7340 0.0000
O 0.7636 0.0000 0.2500
O 0.7636 0.0000 0.7500